# 1
Structure and computed powder X-ray diffraction pattern of TcI6O2 (a DFT-relaxed cell (GGA-PBE, Alexandria); Cu Kα (λ = 1.5418 Å)).
Kinematic intensities with the Lorentz-polarization factor, no thermal factor.

Atomic structure:
```
data_TcI6O2
_space_group_name_H-M_alt 'P 1'
_space_group_IT_number 1
_space_group_name_Hall 'P 1'
_cell_length_a 9.1193
_cell_length_b 9.1193
_cell_length_c 8.8006
_cell_angle_alpha 99.56
_cell_angle_beta 99.56
_cell_angle_gamma 98.97
loop_
_atom_site_label
_atom_site_fract_x
_atom_site_fract_y
_atom_site_fract_z
Tc1 0.2324 0.7676 0.5000
Tc2 0.7676 0.2324 0.0000
I1 0.0224 0.1807 0.1249
I2 0.1807 0.0224 0.6249
I3 0.2491 0.4593 0.4388
I4 0.2866 0.6491 0.7695
I5 0.2920 0.8328 0.2247
I6 0.4593 0.2491 0.9388
I7 0.5450 0.8518 0.5193
I8 0.6491 0.2866 0.2695
I9 0.6737 0.9381 0.9462
I10 0.8328 0.2920 0.7247
I11 0.8518 0.5450 0.0193
I12 0.9381 0.6737 0.4462
O1 0.2046 0.3620 0.2017
O2 0.3620 0.2046 0.7017
O3 0.6789 0.8247 0.7182
O4 0.8247 0.6789 0.2182
```

Top 10 peaks for 10 to 80 degrees two-theta, by angle:
Position (°2θ)	Rel. int.
12.77	48
12.95	100
22.31	53
23.85	45
24.17	34
27.81	34
29.18	39
30.13	36
31.17	48
34.14	47


# 2
Structure and computed powder X-ray diffraction pattern of TeIO3 (a DFT-relaxed cell (GGA-PBE, Alexandria); Cu Kα (λ = 1.5418 Å)).
Kinematic intensities with the Lorentz-polarization factor, no thermal factor.

Atomic structure:
```
data_TeIO3
_space_group_name_H-M_alt 'P 1'
_space_group_IT_number 1
_space_group_name_Hall 'P 1'
_cell_length_a 6.7592
_cell_length_b 6.7592
_cell_length_c 6.5258
_cell_angle_alpha 90.00
_cell_angle_beta 90.00
_cell_angle_gamma 121.82
loop_
_atom_site_label
_atom_site_fract_x
_atom_site_fract_y
_atom_site_fract_z
Te1 0.1198 0.8802 0.5000
Te2 0.8802 0.1198 0.0000
I1 0.2630 0.7370 0.0778
I2 0.7370 0.2630 0.5778
O1 0.0101 0.9899 0.8462
O2 0.0127 0.5904 0.3298
O3 0.4096 0.9873 0.3298
O4 0.5904 0.0127 0.8298
O5 0.9873 0.4096 0.8298
O6 0.9899 0.0101 0.3462
```

Top 10 peaks for 10 to 80 degrees two-theta, by angle:
Position (°2θ)	Rel. int.
15.00	51
15.43	58
20.28	66
20.60	29
27.14	42
29.78	100
34.11	30
38.90	30
42.98	28
49.62	38


# 3
Structure and computed powder X-ray diffraction pattern of Te3IO (a DFT-relaxed cell (GGA-PBE, Alexandria); Cu Kα (λ = 1.5418 Å)).
Kinematic intensities with the Lorentz-polarization factor, no thermal factor.

Atomic structure:
```
data_Te3IO
_space_group_name_H-M_alt 'P 1'
_space_group_IT_number 1
_space_group_name_Hall 'P 1'
_cell_length_a 10.9513
_cell_length_b 6.5147
_cell_length_c 10.0393
_cell_angle_alpha 90.00
_cell_angle_beta 92.43
_cell_angle_gamma 90.00
loop_
_atom_site_label
_atom_site_fract_x
_atom_site_fract_y
_atom_site_fract_z
Te1 0.0053 0.2207 0.2524
Te2 0.0053 0.2793 0.7524
Te3 0.1996 0.0635 0.6196
Te4 0.1996 0.4365 0.1196
Te5 0.2559 0.5092 0.3903
Te6 0.2559 0.9908 0.8903
Te7 0.7441 0.0092 0.1097
Te8 0.7441 0.4908 0.6097
Te9 0.8004 0.5635 0.8804
Te10 0.8004 0.9365 0.3804
Te11 0.9947 0.7207 0.2476
Te12 0.9947 0.7793 0.7476
I1 0.3957 0.6422 0.8130
I2 0.3957 0.8578 0.3130
I3 0.6043 0.1422 0.6870
I4 0.6043 0.3578 0.1870
O1 0.1097 0.2494 0.4149
O2 0.1097 0.2506 0.9149
O3 0.8903 0.7494 0.0851
O4 0.8903 0.7506 0.5851
```

Top 10 peaks for 10 to 80 degrees two-theta, by angle:
Position (°2θ)	Rel. int.
17.68	60
17.98	51
21.21	60
22.74	48
24.58	100
29.12	81
29.71	44
30.86	69
31.98	95
40.19	52


# 4
Structure and computed powder X-ray diffraction pattern of TeIO2 (a DFT-relaxed cell (GGA-PBE, Alexandria); Cu Kα (λ = 1.5418 Å)).
Kinematic intensities with the Lorentz-polarization factor, no thermal factor.

Atomic structure:
```
data_TeIO2
_space_group_name_H-M_alt 'P 1'
_space_group_IT_number 1
_space_group_name_Hall 'P 1'
_cell_length_a 6.5033
_cell_length_b 6.5033
_cell_length_c 6.5033
_cell_angle_alpha 34.15
_cell_angle_beta 34.15
_cell_angle_gamma 34.15
loop_
_atom_site_label
_atom_site_fract_x
_atom_site_fract_y
_atom_site_fract_z
Te1 0.0000 0.0000 0.0000
I1 0.5000 0.5000 0.5000
O1 0.3787 0.3787 0.3787
O2 0.6213 0.6213 0.6213
```

Top 10 peaks for 10 to 80 degrees two-theta, by angle:
Position (°2θ)	Rel. int.
28.69	100
29.19	30
33.40	49
47.62	30
48.28	29
56.55	14
56.84	27
57.42	14
59.41	10
76.98	12


# 5
Structure and computed powder X-ray diffraction pattern of ThTeIO4 (a DFT-relaxed cell (GGA-PBE, Alexandria); Cu Kα (λ = 1.5418 Å)).
Kinematic intensities with the Lorentz-polarization factor, no thermal factor.

Atomic structure:
```
data_ThTeIO4
_space_group_name_H-M_alt 'P 1'
_space_group_IT_number 1
_space_group_name_Hall 'P 1'
_cell_length_a 8.0191
_cell_length_b 8.0191
_cell_length_c 6.5820
_cell_angle_alpha 97.85
_cell_angle_beta 97.85
_cell_angle_gamma 51.35
loop_
_atom_site_label
_atom_site_fract_x
_atom_site_fract_y
_atom_site_fract_z
Th1 0.2284 0.2284 0.3289
Th2 0.7716 0.7716 0.6711
Te1 0.1147 0.1147 0.7160
Te2 0.8853 0.8853 0.2840
I1 0.4980 0.4980 0.2319
I2 0.5020 0.5020 0.7681
O1 0.0058 0.4002 0.6572
O2 0.0846 0.0846 0.3961
O3 0.1789 0.1789 0.0069
O4 0.4002 0.0058 0.6572
O5 0.5998 0.9942 0.3428
O6 0.8211 0.8211 0.9931
O7 0.9154 0.9154 0.6039
O8 0.9942 0.5998 0.3428
```

Top 10 peaks for 10 to 80 degrees two-theta, by angle:
Position (°2θ)	Rel. int.
13.61	29
20.35	36
22.63	100
24.96	58
25.64	88
27.42	39
27.96	51
33.50	65
37.89	29
46.62	37


# 6
Structure and computed powder X-ray diffraction pattern of Tl3IO (a DFT-relaxed cell (GGA-PBE, Alexandria); Cu Kα (λ = 1.5418 Å)).
Kinematic intensities with the Lorentz-polarization factor, no thermal factor.

Atomic structure:
```
data_Tl3IO
_space_group_name_H-M_alt 'P 1'
_space_group_IT_number 1
_space_group_name_Hall 'P 1'
_cell_length_a 7.3743
_cell_length_b 7.3743
_cell_length_c 6.5977
_cell_angle_alpha 90.00
_cell_angle_beta 90.00
_cell_angle_gamma 119.98
loop_
_atom_site_label
_atom_site_fract_x
_atom_site_fract_y
_atom_site_fract_z
Tl1 0.1576 0.3155 0.7484
Tl2 0.1579 0.8421 0.7500
Tl3 0.3155 0.1576 0.2516
Tl4 0.6845 0.8424 0.7516
Tl5 0.8421 0.1579 0.2500
Tl6 0.8424 0.6845 0.2484
I1 0.3335 0.6665 0.2500
I2 0.6665 0.3335 0.7500
O1 0.0007 0.0007 0.0000
O2 0.9993 0.9993 0.5000
```

Top 10 peaks for 10 to 80 degrees two-theta, by angle:
Position (°2θ)	Rel. int.
27.03	31
27.94	20
31.11	100
39.27	20
49.43	19
50.38	26
57.24	22
59.57	15
73.26	8
77.68	10


# 7
Structure and computed powder X-ray diffraction pattern of Tl6IO12 (a DFT-relaxed cell (GGA-PBE, Alexandria); Cu Kα (λ = 1.5418 Å)).
Kinematic intensities with the Lorentz-polarization factor, no thermal factor.

Atomic structure:
```
data_Tl6IO12
_space_group_name_H-M_alt 'P 1'
_space_group_IT_number 1
_space_group_name_Hall 'P 1'
_cell_length_a 6.5852
_cell_length_b 6.5852
_cell_length_c 6.5852
_cell_angle_alpha 97.60
_cell_angle_beta 97.60
_cell_angle_gamma 97.60
loop_
_atom_site_label
_atom_site_fract_x
_atom_site_fract_y
_atom_site_fract_z
Tl1 0.1077 0.6391 0.8101
Tl2 0.1899 0.8923 0.3609
Tl3 0.3609 0.1899 0.8923
Tl4 0.6391 0.8101 0.1077
Tl5 0.8101 0.1077 0.6391
Tl6 0.8923 0.3609 0.1899
I1 0.5000 0.5000 0.5000
O1 0.0781 0.3265 0.8951
O2 0.1049 0.9219 0.6735
O3 0.2109 0.5293 0.4307
O4 0.3265 0.8951 0.0781
O5 0.4307 0.2109 0.5293
O6 0.4707 0.5693 0.7891
O7 0.5293 0.4307 0.2109
O8 0.5693 0.7891 0.4707
O9 0.6735 0.1049 0.9219
O10 0.7891 0.4707 0.5693
O11 0.8951 0.0781 0.3265
O12 0.9219 0.6735 0.1049
```

Top 10 peaks for 10 to 80 degrees two-theta, by angle:
Position (°2θ)	Rel. int.
27.35	36
29.00	100
33.14	52
46.51	28
48.62	25
54.80	14
56.68	25
57.61	13
60.10	11
78.65	9


# 8
Structure and computed powder X-ray diffraction pattern of Tl2I2O7 (a DFT-relaxed cell (GGA-PBE, Alexandria); Cu Kα (λ = 1.5418 Å)).
Kinematic intensities with the Lorentz-polarization factor, no thermal factor.

Atomic structure:
```
data_Tl2I2O7
_space_group_name_H-M_alt 'P 1'
_space_group_IT_number 1
_space_group_name_Hall 'P 1'
_cell_length_a 5.5028
_cell_length_b 5.5028
_cell_length_c 6.2135
_cell_angle_alpha 99.45
_cell_angle_beta 99.45
_cell_angle_gamma 77.34
loop_
_atom_site_label
_atom_site_fract_x
_atom_site_fract_y
_atom_site_fract_z
Tl1 0.2198 0.7802 0.0000
Tl2 0.7802 0.2198 0.0000
I1 0.2463 0.2463 0.6019
I2 0.7537 0.7537 0.3981
O1 0.0000 0.0000 0.5000
O2 0.0011 0.4441 0.7652
O3 0.4441 0.0011 0.7652
O4 0.4687 0.4687 0.7661
O5 0.5313 0.5313 0.2339
O6 0.5559 0.9989 0.2348
O7 0.9989 0.5559 0.2348
```

Top 10 peaks for 10 to 80 degrees two-theta, by angle:
Position (°2θ)	Rel. int.
14.58	26
23.07	85
23.65	25
28.26	58
29.86	100
31.92	31
33.69	55
42.06	28
43.07	29
50.46	31


# 9
Structure and computed powder X-ray diffraction pattern of TlI2O6 (a DFT-relaxed cell (GGA-PBE, Alexandria); Cu Kα (λ = 1.5418 Å)).
Kinematic intensities with the Lorentz-polarization factor, no thermal factor.

Atomic structure:
```
data_TlI2O6
_space_group_name_H-M_alt 'P 1'
_space_group_IT_number 1
_space_group_name_Hall 'P 1'
_cell_length_a 7.9468
_cell_length_b 7.9468
_cell_length_c 8.4708
_cell_angle_alpha 117.11
_cell_angle_beta 117.11
_cell_angle_gamma 41.77
loop_
_atom_site_label
_atom_site_fract_x
_atom_site_fract_y
_atom_site_fract_z
Tl1 0.0389 0.9611 0.7500
Tl2 0.9611 0.0389 0.2500
I1 0.3547 0.3563 0.3836
I2 0.3563 0.3547 0.8836
I3 0.6437 0.6453 0.1164
I4 0.6453 0.6437 0.6164
O1 0.0900 0.3725 0.8081
O2 0.1841 0.7084 0.9848
O3 0.2354 0.5106 0.5954
O4 0.2916 0.8159 0.5152
O5 0.3725 0.0900 0.3081
O6 0.4894 0.7646 0.9046
O7 0.5106 0.2354 0.0954
O8 0.6275 0.9100 0.6919
O9 0.7084 0.1841 0.4848
O10 0.7646 0.4894 0.4046
O11 0.8159 0.2916 0.0152
O12 0.9100 0.6275 0.1919
```

Top 10 peaks for 10 to 80 degrees two-theta, by angle:
Position (°2θ)	Rel. int.
13.66	19
25.93	100
26.28	32
26.73	83
27.76	23
31.58	23
33.24	19
46.51	23
49.01	23
53.34	19


# 10
Structure and computed powder X-ray diffraction pattern of TlI3O9 (a DFT-relaxed cell (GGA-PBE, Alexandria); Cu Kα (λ = 1.5418 Å)).
Kinematic intensities with the Lorentz-polarization factor, no thermal factor.

Atomic structure:
```
data_TlI3O9
_space_group_name_H-M_alt 'P 1'
_space_group_IT_number 1
_space_group_name_Hall 'P 1'
_cell_length_a 7.6600
_cell_length_b 7.6600
_cell_length_c 7.6600
_cell_angle_alpha 81.69
_cell_angle_beta 81.69
_cell_angle_gamma 81.69
loop_
_atom_site_label
_atom_site_fract_x
_atom_site_fract_y
_atom_site_fract_z
Tl1 0.1796 0.1796 0.1796
Tl2 0.8204 0.8204 0.8204
I1 0.1307 0.4195 0.7172
I2 0.2828 0.8693 0.5805
I3 0.4195 0.7172 0.1307
I4 0.5805 0.2828 0.8693
I5 0.7172 0.1307 0.4195
I6 0.8693 0.5805 0.2828
O1 0.0489 0.3015 0.9331
O2 0.0669 0.9511 0.6985
O3 0.0811 0.4321 0.3117
O4 0.2202 0.7395 0.4208
O5 0.2605 0.5792 0.7798
O6 0.3015 0.9331 0.0489
O7 0.3117 0.0811 0.4321
O8 0.4208 0.2202 0.7395
O9 0.4321 0.3117 0.0811
O10 0.5679 0.6883 0.9189
O11 0.5792 0.7798 0.2605
O12 0.6883 0.9189 0.5679
O13 0.6985 0.0669 0.9511
O14 0.7395 0.4208 0.2202
O15 0.7798 0.2605 0.5792
O16 0.9189 0.5679 0.6883
O17 0.9331 0.0489 0.3015
O18 0.9511 0.6985 0.0669
```

Top 10 peaks for 10 to 80 degrees two-theta, by angle:
Position (°2θ)	Rel. int.
17.66	21
21.31	18
23.67	17
25.11	100
29.71	17
30.92	57
35.82	24
40.20	42
51.57	33
58.10	12


# 11
Structure and computed powder X-ray diffraction pattern of Y2TlIO8 (a DFT-relaxed cell (GGA-PBE, Alexandria); Cu Kα (λ = 1.5418 Å)).
Kinematic intensities with the Lorentz-polarization factor, no thermal factor.

Atomic structure:
```
data_Y2TlIO8
_space_group_name_H-M_alt 'P 1'
_space_group_IT_number 1
_space_group_name_Hall 'P 1'
_cell_length_a 4.9303
_cell_length_b 4.9303
_cell_length_c 7.1043
_cell_angle_alpha 90.00
_cell_angle_beta 90.00
_cell_angle_gamma 92.69
loop_
_atom_site_label
_atom_site_fract_x
_atom_site_fract_y
_atom_site_fract_z
Y1 0.0000 0.0000 0.2461
Y2 0.0000 0.0000 0.7539
Tl1 0.5000 0.5000 0.5000
I1 0.5000 0.5000 0.0000
O1 0.1971 0.1971 0.5000
O2 0.2210 0.2210 0.0000
O3 0.3169 0.6831 0.1962
O4 0.3169 0.6831 0.8038
O5 0.6831 0.3169 0.1962
O6 0.6831 0.3169 0.8038
O7 0.7790 0.7790 0.0000
O8 0.8029 0.8029 0.5000
```

Top 10 peaks for 10 to 80 degrees two-theta, by angle:
Position (°2θ)	Rel. int.
18.01	19
24.96	57
26.18	48
31.04	100
36.49	25
47.94	39
49.34	35
58.01	12
62.31	21
64.71	11


# 12
Structure and computed powder X-ray diffraction pattern of Tm2IO6 (a DFT-relaxed cell (GGA-PBE, Alexandria); Cu Kα (λ = 1.5418 Å)).
Kinematic intensities with the Lorentz-polarization factor, no thermal factor.

Atomic structure:
```
data_Tm2IO6
_space_group_name_H-M_alt 'P 1'
_space_group_IT_number 1
_space_group_name_Hall 'P 1'
_cell_length_a 6.2603
_cell_length_b 6.2603
_cell_length_c 6.2603
_cell_angle_alpha 57.35
_cell_angle_beta 57.35
_cell_angle_gamma 57.35
loop_
_atom_site_label
_atom_site_fract_x
_atom_site_fract_y
_atom_site_fract_z
Tm1 0.1984 0.1984 0.1984
Tm2 0.8016 0.8016 0.8016
I1 0.0000 0.0000 0.0000
O1 0.0091 0.1102 0.6297
O2 0.1102 0.6297 0.0091
O3 0.3703 0.9909 0.8898
O4 0.6297 0.0091 0.1102
O5 0.8898 0.3703 0.9909
O6 0.9909 0.8898 0.3703
```

Top 10 peaks for 10 to 80 degrees two-theta, by angle:
Position (°2θ)	Rel. int.
17.97	100
20.51	19
28.56	20
29.74	72
33.43	52
45.35	34
46.12	18
52.78	17
55.18	29
61.75	16